Structure and computed powder X-ray diffraction pattern of CePm6Sm5 (a crystal structure in Alexandria, relaxed with PBE; λ = 1.5418 Å (Cu Kα)).
Peak positions follow from Bragg's law for the DFT cell and can differ from measured ones.

Structural model:
Cell: 9.6076 9.6076 5.1367 Å, 105.46 105.46 64.71°
Positions (direct):
Ce  0.0000  0.0000  0.0000
Pm  0.0833  0.5861  0.8347
Pm  0.2473  0.7527  0.5000
Pm  0.4139  0.9167  0.1653
Pm  0.5861  0.0833  0.8347
Pm  0.7527  0.2473  0.5000
Pm  0.9167  0.4139  0.1653
Sm  0.1650  0.1650  0.6649
Sm  0.3328  0.3328  0.3327
Sm  0.5000  0.5000  0.0000
Sm  0.6672  0.6672  0.6673
Sm  0.8350  0.8350  0.3351

Most intense lines, 10 to 80 degrees two-theta, sorted by position:
2θ = 30.1°, d 2.966, I = 100
2θ = 34.9°, d 2.569, I = 51
2θ = 50.2°, d 1.816, I = 36
2θ = 59.7°, d 1.549, I = 43
2θ = 62.6°, d 1.483, I = 12
2θ = 73.7°, d 1.285, I = 4
2θ = 73.8°, d 1.284, I = 2